Starting from a DFT-relaxed cell (GGA+U, Alexandria), the XRD peak list of MgV2Bi2O10 was computed for Cu Kα (weighted mean of Kα1 and Kα2).

Atomic structure:
a = 5.3743 Å, b = 11.5879 Å, c = 8.2572 Å
α = 90.00°, β = 102.07°, γ = 90.00°
Space group P2_1 (No. 4)
Inequivalent atoms, fractional coordinates:
Mg1 0.0565 0.0000 0.3969 [2 per cell]
V1 0.3155 0.7369 0.7974 [2 per cell]
V2 0.3549 0.5425 0.3189 [2 per cell]
Bi1 0.3920 0.2971 0.5763 [2 per cell]
Bi2 0.4913 0.9628 0.0831 [2 per cell]
O1 0.0631 0.6523 0.7170 [2 per cell]
O2 0.1856 0.4574 0.4415 [2 per cell]
O3 0.1936 0.3908 0.7673 [2 per cell]
O4 0.2440 0.8396 0.9453 [2 per cell]
O5 0.2449 0.6798 0.3137 [2 per cell]
O6 0.3100 0.4924 0.1076 [2 per cell]
O7 0.3312 0.0623 0.5862 [2 per cell]
O8 0.3348 0.9274 0.2945 [2 per cell]
O9 0.4099 0.8115 0.6418 [2 per cell]
O10 0.4303 0.1432 0.1054 [2 per cell]

Main lines, low angle first (2θ from 5° to 70°):
d_spacing	2θ (°)	I/Imax	(hkl)
6.625	13.4	30	0 1 1
5.794	15.3	25	0 2 0
5.255	16.9	100	1 0 0
4.707	18.9	52	0 2 1
4.511	19.7	44	1 1 -1
3.812	23.3	31	0 1 2
3.424	26.0	43	1 1 -2
3.312	26.9	82	1 2 1
2.791	32.1	30	0 3 2
2.625	34.2	49	1 3 -2

---

Starting from a DFT-relaxed cell (GGA+U, Alexandria), the XRD peak list of MgVBiO6 was computed for Cu Kα (weighted mean of Kα1 and Kα2).

Atomic structure:
a = 6.8642 Å, b = 5.8428 Å, c = 8.3236 Å
α = 90.00°, β = 104.67°, γ = 90.00°
Space group P2_1/m (No. 11)
Inequivalent atoms, fractional coordinates:
Mg1 0.0988 0.2500 0.2599 [2 per cell]
V1 0.2202 0.2500 0.8778 [2 per cell]
Bi1 0.4841 0.7500 0.4016 [2 per cell]
O1 0.0908 0.0128 0.7902 [4 per cell]
O2 0.2516 0.2500 0.0877 [2 per cell]
O3 0.2966 0.0255 0.4375 [4 per cell]
O4 0.4763 0.2500 0.8351 [2 per cell]

Main lines, low angle first (2θ from 5° to 70°):
d_spacing	2θ (°)	I/Imax	(hkl)
8.052	11.0	88	0 0 1
6.640	13.3	100	1 0 0
5.910	15.0	82	1 0 -1
4.729	18.8	61	0 1 1
4.585	19.4	54	1 0 1
3.910	22.7	45	1 0 -2
3.607	24.7	77	1 1 1
3.317	26.9	40	2 0 0
3.249	27.4	43	1 1 -2
2.746	32.6	42	1 1 2